# 1
Structure and computed X-ray powder pattern of PmDy5HoTh2 (a crystal structure in Alexandria, relaxed with GGA-PBE; Cu Kα, 1.54184 Å).

Crystal structure
```
data_PmDy5HoTh2
_chemical_formula_sum 'Pm4 Dy20 Ho4 Th8'
_cell_length_a 8.8473
_cell_length_b 8.8473
_cell_length_c 15.2810
_cell_angle_alpha 90.00
_cell_angle_beta 90.00
_cell_angle_gamma 90.00
_symmetry_space_group_name_H-M 'I 4/m c m'
_symmetry_Int_Tables_number 140
_symmetry_space_group_name_Hall '-I 4 2c'
loop_
_atom_site_label
_atom_site_fract_x
_atom_site_fract_y
_atom_site_fract_z
_atom_site_occupancy
Pm1 0.0000 0.0000 0.2500 1
Dy1 0.0000 0.0000 0.0000 1
Dy2 0.2086 0.2914 0.1380 1
Ho1 0.0000 0.5000 0.2500 1
Th1 0.1189 0.3811 0.5000 1
```

Principal peaks in the range 2θ = 10–90°, by intensity:
- 2θ = 28.6°, 3.126 Å, rel. 100, hkl 2 2 0
- 2θ = 30.9°, 2.891 Å, rel. 83, hkl 2 0 4
- 2θ = 37.1°, 2.421 Å, rel. 38, hkl 3 2 1
- 2θ = 42.5°, 2.125 Å, rel. 23, hkl 4 0 2
- 2θ = 52.1°, 1.757 Å, rel. 19, hkl 4 2 4
- 2θ = 64.4°, 1.448 Å, rel. 16, hkl 4 4 4
- 2θ = 34.1°, 2.627 Å, rel. 15, hkl 3 1 2
- 2θ = 32.0°, 2.798 Å, rel. 15, hkl 3 1 0
- 2θ = 79.1°, 1.211 Å, rel. 13, hkl 6 1 7
- 2θ = 58.5°, 1.579 Å, rel. 13, hkl 5 1 4
- 2θ = 56.4°, 1.632 Å, rel. 12, hkl 3 2 7
- 2θ = 47.6°, 1.910 Å, rel. 12, hkl 0 0 8

***

# 2
Structure and computed X-ray powder pattern of LiHg3Pd12 (a crystal structure in Alexandria, relaxed with GGA-PBE; Cu Kα, 1.54184 Å).

Crystal structure
```
data_LiHg3Pd12
_chemical_formula_sum 'Li1 Hg3 Pd12'
_cell_length_a 4.0250
_cell_length_b 4.0250
_cell_length_c 15.9592
_cell_angle_alpha 90.00
_cell_angle_beta 90.00
_cell_angle_gamma 90.00
_symmetry_space_group_name_H-M 'P 4/m m m'
_symmetry_Int_Tables_number 123
_symmetry_space_group_name_Hall '-P 4 2'
loop_
_atom_site_label
_atom_site_fract_x
_atom_site_fract_y
_atom_site_fract_z
_atom_site_occupancy
Li1 0.0000 0.0000 0.0000 1
Hg1 0.0000 0.0000 0.2439 1
Hg2 0.0000 0.0000 0.5000 1
Pd1 0.0000 0.5000 0.1154 1
Pd2 0.0000 0.5000 0.3716 1
Pd3 0.5000 0.5000 0.0000 1
Pd4 0.5000 0.5000 0.2421 1
Pd5 0.5000 0.5000 0.5000 1
```

Principal peaks in the range 2θ = 10–90°, by intensity:
- 2θ = 38.9°, 2.317 Å, rel. 100, hkl 1 1 4
- 2θ = 45.0°, 2.012 Å, rel. 34, hkl 2 0 0
- 2θ = 79.0°, 1.213 Å, rel. 25, hkl 3 1 4
- 2θ = 65.9°, 1.417 Å, rel. 19, hkl 2 0 8
- 2θ = 45.5°, 1.995 Å, rel. 15, hkl 0 0 8
- 2θ = 65.6°, 1.423 Å, rel. 11, hkl 2 2 0
- 2θ = 83.4°, 1.158 Å, rel. 10, hkl 2 2 8
- 2θ = 79.6°, 1.205 Å, rel. 10, hkl 1 1 12
- 2θ = 35.8°, 2.510 Å, rel. 4, hkl 1 1 3
- 2θ = 22.8°, 3.903 Å, rel. 4, hkl 1 0 1
- 2θ = 24.8°, 3.594 Å, rel. 3, hkl 1 0 2
- 2θ = 11.1°, 7.980 Å, rel. 3, hkl 0 0 2

***

# 3
Structure and computed X-ray powder pattern of La8Tb6Y (a crystal structure in Alexandria, relaxed with GGA-PBE; Cu Kα, 1.54184 Å).

Crystal structure
```
data_La8Tb6Y
_chemical_formula_sum 'La8 Tb6 Y1'
_cell_length_a 9.4883
_cell_length_b 9.4883
_cell_length_c 6.7090
_cell_angle_alpha 90.00
_cell_angle_beta 90.00
_cell_angle_gamma 120.00
_symmetry_space_group_name_H-M 'P -3'
_symmetry_Int_Tables_number 147
loop_
_symmetry_equiv_pos_as_xyz
'x,y,z'
'-x,-y,-z'
'-y,x-y,z'
'y,-x+y,-z'
'-x+y,-x,z'
'x-y,x,-z'
loop_
_atom_site_label
_atom_site_fract_x
_atom_site_fract_y
_atom_site_fract_z
_atom_site_occupancy
La1 0.0411 0.2935 0.1654 1
La2 0.3333 0.6667 0.1190 1
Tb1 0.0959 0.4342 0.6502 1
Y1 0.0000 0.0000 0.5000 1
```

Principal peaks in the range 2θ = 10–90°, by intensity:
- 2θ = 31.7°, 2.818 Å, rel. 100, hkl 2 1 1
- 2θ = 32.7°, 2.739 Å, rel. 90, hkl 2 -1 2
- 2θ = 28.7°, 3.106 Å, rel. 72, hkl 2 1 0
- 2θ = 50.3°, 1.815 Å, rel. 29, hkl 5 -3 1
- 2θ = 25.4°, 3.504 Å, rel. 22, hkl 0 2 1
- 2θ = 61.3°, 1.513 Å, rel. 21, hkl 2 4 1
- 2θ = 64.7°, 1.441 Å, rel. 18, hkl 5 -3 3
- 2θ = 48.3°, 1.885 Å, rel. 16, hkl 3 1 2
- 2θ = 77.5°, 1.232 Å, rel. 16, hkl 3 -2 5
- 2θ = 57.8°, 1.596 Å, rel. 15, hkl 1 3 3
- 2θ = 52.2°, 1.752 Å, rel. 14, hkl 4 0 2
- 2θ = 46.2°, 1.964 Å, rel. 12, hkl 4 0 1

***

# 4
Structure and computed X-ray powder pattern of Nd2PaBi3 (a crystal structure in Alexandria, relaxed with GGA-PBE; Cu Kα, 1.54184 Å).

Crystal structure
```
data_Nd2PaBi3
_chemical_formula_sum 'Nd32 Pa16 Bi48'
_cell_length_a 9.1467
_cell_length_b 12.9088
_cell_length_c 27.3357
_cell_angle_alpha 90.00
_cell_angle_beta 90.00
_cell_angle_gamma 90.00
_symmetry_space_group_name_H-M 'F d d d'
_symmetry_Int_Tables_number 70
loop_
_symmetry_equiv_pos_as_xyz
'x,y,z'
'-x,-y,-z'
'-x+1/4,-y+1/4,z'
'x+1/4,y+1/4,-z'
'x,-y+1/4,-z+1/4'
'-x,y+1/4,z+1/4'
'-x+1/4,y,-z+1/4'
'x+1/4,-y,z+1/4'
'x,y+1/2,z+1/2'
'-x,-y+1/2,-z+1/2'
'-x+1/4,-y+3/4,z+1/2'
'x+1/4,y+3/4,-z+1/2'
'x,-y+3/4,-z+3/4'
'-x,y+3/4,z+3/4'
'-x+1/4,y+1/2,-z+3/4'
'x+1/4,-y+1/2,z+3/4'
'x+1/2,y,z+1/2'
'-x+1/2,-y,-z+1/2'
'-x+3/4,-y+1/4,z+1/2'
'x+3/4,y+1/4,-z+1/2'
'x+1/2,-y+1/4,-z+3/4'
'-x+1/2,y+1/4,z+3/4'
'-x+3/4,y,-z+3/4'
'x+3/4,-y,z+3/4'
'x+1/2,y+1/2,z'
'-x+1/2,-y+1/2,-z'
'-x+3/4,-y+3/4,z'
'x+3/4,y+3/4,-z'
'x+1/2,-y+3/4,-z+1/4'
'-x+1/2,y+3/4,z+1/4'
'-x+3/4,y+1/2,-z+1/4'
'x+3/4,-y+1/2,z+1/4'
loop_
_atom_site_label
_atom_site_fract_x
_atom_site_fract_y
_atom_site_fract_z
_atom_site_occupancy
Nd1 0.1250 0.1250 0.0430 1
Nd2 0.1250 0.1250 0.3738 1
Pa1 0.1250 0.1250 0.5414 1
Bi1 0.1175 0.3750 0.8750 1
Bi2 0.1217 0.3717 0.7097 1
```

Principal peaks in the range 2θ = 10–90°, by intensity:
- 2θ = 27.6°, 3.228 Å, rel. 100, hkl 2 0 6
- 2θ = 39.5°, 2.283 Å, rel. 66, hkl 2 4 6
- 2θ = 64.6°, 1.443 Å, rel. 25, hkl 2 8 6
- 2θ = 48.8°, 1.866 Å, rel. 14, hkl 4 4 0
- 2θ = 48.9°, 1.861 Å, rel. 14, hkl 0 4 12
- 2θ = 71.5°, 1.319 Å, rel. 14, hkl 4 8 0
- 2θ = 71.7°, 1.316 Å, rel. 14, hkl 0 8 12
- 2θ = 57.1°, 1.614 Å, rel. 14, hkl 0 8 0
- 2θ = 39.6°, 2.278 Å, rel. 13, hkl 0 0 12
- 2θ = 64.5°, 1.446 Å, rel. 6, hkl 6 0 6
- 2θ = 64.7°, 1.441 Å, rel. 6, hkl 2 0 18
- 2θ = 85.0°, 1.141 Å, rel. 6, hkl 4 8 12